No. 1
This entry pairs a crystal structure of Nd11Zn9Ag4 with its simulated powder X-ray diffraction pattern. Radiation: a wavelength of 1.5418 Å. Structure: a cell relaxed with GGA-PBE.

Crystal structure
```
data_Nd11Zn9Ag4
_cell_length_a 14.818
_cell_length_b 21.675
_cell_length_c 3.748
_cell_angle_alpha 90.00
_cell_angle_beta 90.00
_cell_angle_gamma 90.00
_space_group_name_H-M_alt 'C m m m'
_space_group_IT_number 65
_space_group_name_Hall '-C 2 2'
loop_
_atom_site_label
_atom_site_fract_x
_atom_site_fract_y
_atom_site_fract_z
Nd1 0.000 0.000 0.000
Nd2 0.000 0.173 0.000
Nd3 0.000 0.349 0.000
Nd4 0.240 0.172 0.000
Nd5 0.246 0.000 0.000
Zn1 0.000 0.500 0.500
Zn2 0.115 0.259 0.500
Zn3 0.122 0.083 0.500
Ag1 0.140 0.414 0.500
```

Largest 6 diffraction maxima, by angle, 15 to 90 degrees two-theta:
2θ (°)  Rel. int.  hkl
34.03  1000  4 0 1
34.48  947  0 6 1
34.68  997  4 6 0
61.06  380  4 6 2
61.45  288  8 6 1
62.33  274  4 12 1

No. 2
This entry pairs a crystal structure of NdZn2Ag4 with its simulated powder X-ray diffraction pattern. Radiation: a wavelength of 1.5418 Å. Structure: a cell relaxed with GGA-PBE.

Crystal structure
```
data_NdZn2Ag4
_cell_length_a 7.090
_cell_length_b 7.090
_cell_length_c 5.360
_cell_angle_alpha 90.00
_cell_angle_beta 90.00
_cell_angle_gamma 90.00
_space_group_name_H-M_alt 'I 4/m m m'
_space_group_IT_number 139
_space_group_name_Hall '-I 4 2'
loop_
_atom_site_label
_atom_site_fract_x
_atom_site_fract_y
_atom_site_fract_z
Nd1 0.000 0.000 0.000
Zn1 0.000 0.500 0.250
Ag1 0.196 0.196 0.500
```

Largest 6 diffraction maxima, by angle, 15 to 90 degrees two-theta:
2θ (°)  Rel. int.  hkl
32.82  962  2 1 1
33.44  343  0 0 2
35.82  873  2 2 0
38.07  535  1 1 2
41.77  1000  3 0 1
42.28  419  2 0 2

No. 3
This entry pairs a crystal structure of Nd3Zn4Ag2 with its simulated powder X-ray diffraction pattern. Radiation: a wavelength of 1.5418 Å. Structure: a cell relaxed with GGA-PBE.

Crystal structure
```
data_Nd3Zn4Ag2
_cell_length_a 10.824
_cell_length_b 4.668
_cell_length_c 8.858
_cell_angle_alpha 90.00
_cell_angle_beta 115.81
_cell_angle_gamma 90.00
_space_group_name_H-M_alt 'C 1 2/m 1'
_space_group_IT_number 12
_space_group_name_Hall '-C 2y'
loop_
_atom_site_label
_atom_site_fract_x
_atom_site_fract_y
_atom_site_fract_z
Nd1 0.000 0.000 0.000
Nd2 0.167 0.500 0.668
Zn1 0.049 0.000 0.386
Zn2 0.227 0.500 0.056
Ag1 0.111 0.500 0.277
```

Largest 6 diffraction maxima, by angle, 15 to 90 degrees two-theta:
2θ (°)  Rel. int.  hkl
33.46  333  4 0 -1
33.62  680  3 1 0
33.74  1000  0 0 3
38.33  878  3 1 -3
38.58  432  0 2 0
66.45  420  1 1 5

No. 4
This entry pairs a crystal structure of Nd2Zn4Ag5 with its simulated powder X-ray diffraction pattern. Radiation: a wavelength of 1.5418 Å. Structure: a cell relaxed with GGA-PBE.

Crystal structure
```
data_Nd2Zn4Ag5
_cell_length_a 12.558
_cell_length_b 5.631
_cell_length_c 8.696
_cell_angle_alpha 90.00
_cell_angle_beta 133.77
_cell_angle_gamma 90.00
_space_group_name_H-M_alt 'C 1 2/m 1'
_space_group_IT_number 12
_space_group_name_Hall '-C 2y'
loop_
_atom_site_label
_atom_site_fract_x
_atom_site_fract_y
_atom_site_fract_z
Nd1 0.212 0.000 0.213
Zn1 0.244 0.500 0.084
Zn2 0.244 0.500 0.404
Ag1 0.000 0.251 0.312
Ag2 0.000 0.500 0.000
```

Largest 6 diffraction maxima, by angle, 15 to 90 degrees two-theta:
2θ (°)  Rel. int.  hkl
32.43  659  4 0 -3
34.93  401  2 2 -1
37.61  1000  2 2 0
38.08  451  2 2 -2
39.74  782  4 0 0
40.25  919  1 1 -3

No. 5
This entry pairs a crystal structure of NdZn2Ag2 with its simulated powder X-ray diffraction pattern. Radiation: a wavelength of 1.5418 Å. Structure: a cell relaxed with GGA-PBE.

Crystal structure
```
data_NdZn2Ag2
_cell_length_a 3.943
_cell_length_b 12.829
_cell_length_c 8.340
_cell_angle_alpha 90.00
_cell_angle_beta 90.00
_cell_angle_gamma 90.00
_space_group_name_H-M_alt 'C m c m'
_space_group_IT_number 63
_space_group_name_Hall '-C 2c 2'
loop_
_atom_site_label
_atom_site_fract_x
_atom_site_fract_y
_atom_site_fract_z
Nd1 0.000 0.085 0.250
Zn1 0.000 0.234 0.602
Ag1 0.000 0.406 0.081
```

Largest 6 diffraction maxima, by angle, 15 to 90 degrees two-theta:
2θ (°)  Rel. int.  hkl
32.01  448  1 1 2
32.70  1000  1 3 1
35.18  475  0 2 3
42.27  242  0 6 0
46.03  222  2 0 0
47.57  211  1 5 2

No. 6
This entry pairs a crystal structure of Nd2Zn3Ag5 with its simulated powder X-ray diffraction pattern. Radiation: a wavelength of 1.5418 Å. Structure: a cell relaxed with GGA-PBE.

Crystal structure
```
data_Nd2Zn3Ag5
_cell_length_a 10.533
_cell_length_b 13.789
_cell_length_c 5.690
_cell_angle_alpha 90.00
_cell_angle_beta 90.00
_cell_angle_gamma 90.00
_space_group_name_H-M_alt 'I b a m'
_space_group_IT_number 72
_space_group_name_Hall '-I 2 2c'
loop_
_atom_site_label
_atom_site_fract_x
_atom_site_fract_y
_atom_site_fract_z
Nd1 0.212 0.153 0.000
Zn1 0.000 0.500 0.250
Zn2 0.085 0.156 0.500
Ag1 0.000 0.000 0.250
Ag2 0.000 0.306 0.250
Ag3 0.194 0.427 0.000
```

Largest 6 diffraction maxima, by angle, 15 to 90 degrees two-theta:
2θ (°)  Rel. int.  hkl
31.01  418  2 4 0
31.50  611  1 4 1
32.08  498  3 3 0
35.88  1000  2 0 2
38.20  992  1 3 2
41.14  410  0 4 2

No. 7
This entry pairs a crystal structure of Nd2Zn6Ag9 with its simulated powder X-ray diffraction pattern. Radiation: a wavelength of 1.5418 Å. Structure: a cell relaxed with GGA-PBE.

Crystal structure
```
data_Nd2Zn6Ag9
_cell_length_a 5.6282
_cell_length_b 5.6282
_cell_length_c 13.0936
_cell_angle_alpha 90.00
_cell_angle_beta 90.00
_cell_angle_gamma 120.00
_space_group_name_H-M_alt 'P 6/m m m'
_space_group_IT_number 191
_space_group_name_Hall '-P 6 2'
loop_
_atom_site_label
_atom_site_fract_x
_atom_site_fract_y
_atom_site_fract_z
Nd1 0.0000 0.0000 0.1665
Zn1 0.3333 0.6667 0.1656
Zn2 0.3333 0.6667 0.5000
Ag1 0.0000 0.5000 0.0000
Ag2 0.0000 0.5000 0.3333
```

Largest 6 diffraction maxima, by angle, 15 to 90 degrees two-theta:
2θ (°)  Rel. int.  hkl
27.43  365  1 0 3
36.88  577  2 0 0
38.05  1000  1 1 3
41.37  351  0 0 6
42.48  569  2 0 3
56.62  339  2 0 6

No. 8
This entry pairs a crystal structure of NiAg with its simulated powder X-ray diffraction pattern. Radiation: a wavelength of 1.5418 Å. Structure: a cell relaxed with GGA-PBE.

Crystal structure
```
data_NiAg
_cell_length_a 2.715
_cell_length_b 10.902
_cell_length_c 6.407
_cell_angle_alpha 90.00
_cell_angle_beta 90.00
_cell_angle_gamma 90.00
_space_group_name_H-M_alt 'A m m 2'
_space_group_IT_number 38
_space_group_name_Hall 'A 2 -2'
loop_
_atom_site_label
_atom_site_fract_x
_atom_site_fract_y
_atom_site_fract_z
Ni1 0.000 0.000 0.000
Ni2 0.500 0.105 0.256
Ag1 0.000 0.246 0.513
Ag2 0.500 0.000 0.637
```

Largest 6 diffraction maxima, by angle, 15 to 90 degrees two-theta:
2θ (°)  Rel. int.  hkl
32.42  525  0 2 2
32.86  437  0 4 0
36.96  1000  1 2 0
43.60  807  0 4 2
43.71  905  1 0 2
77.56  414  1 4 4